Record 1
Simulated powder XRD pattern
Compound: Pm3Ni3Rh
Radiation: copper Kα
Structure: a crystal structure in Alexandria, relaxed with GGA-PBE
Lines closer than 0.1° are merged.

Largest 10 diffraction maxima, by angle, 10 to 90 degrees two-theta:
2θ (°), I/Imax
30.3, 100
32.7, 66
34.6, 60
35.2, 45
35.3, 82
37.0, 36
40.3, 63
41.8, 64
42.4, 38
54.0, 32

```
data_Pm3Ni3Rh
_symmetry_space_group_name_H-M 'C m c m'
_symmetry_Int_Tables_number 63
_symmetry_space_group_name_Hall '-C 2c 2'
_cell_length_a 4.327
_cell_length_b 9.728
_cell_length_c 13.253
_cell_angle_alpha 90.00
_cell_angle_beta 90.00
_cell_angle_gamma 90.00
loop_
_atom_site_label
_atom_site_type_symbol
_atom_site_fract_x
_atom_site_fract_y
_atom_site_fract_z
Pm1 Pm 0.000 0.018 0.250
Pm2 Pm 0.000 0.274 0.601
Ni1 Ni 0.000 0.314 0.250
Ni2 Ni 0.000 0.434 0.087
Rh1 Rh 0.000 0.000 0.000
```

=====

Record 2
Simulated powder XRD pattern
Compound: LiYZn11
Radiation: copper Kα
Structure: a crystal structure in Alexandria, relaxed with GGA-PBE
Lines closer than 0.1° are merged.

Largest 10 diffraction maxima, by angle, 10 to 90 degrees two-theta:
2θ (°), I/Imax
34.3, 36
35.0, 69
40.0, 46
40.1, 40
40.5, 52
40.7, 73
40.8, 100
45.3, 58
45.8, 52
65.8, 27

```
data_LiYZn11
_symmetry_space_group_name_H-M 'C 1 2/m 1'
_symmetry_Int_Tables_number 12
_symmetry_space_group_name_Hall '-C 2y'
_cell_length_a 5.233
_cell_length_b 12.464
_cell_length_c 6.781
_cell_angle_alpha 90.00
_cell_angle_beta 112.44
_cell_angle_gamma 90.00
loop_
_atom_site_label
_atom_site_type_symbol
_atom_site_fract_x
_atom_site_fract_y
_atom_site_fract_z
Li1 Li 0.000 0.000 0.000
Y1 Y 0.000 0.500 0.500
Zn1 Zn 0.000 0.500 0.000
Zn2 Zn 0.106 0.108 0.720
Zn3 Zn 0.183 0.325 0.854
Zn4 Zn 0.250 0.250 0.500
```